No. 1
# Ca3Al7Ir4
Theoretical powder XRD pattern, Cu Ka. Input: a cell relaxed with GGA-PBE.
Kinematic intensities with the Lorentz-polarization factor, no thermal factor.

Largest 10 diffraction maxima, in order of rising 2θ, 2θ = 10–90°:
Position (°2θ)	intensity
22.74	61
23.19	40
26.64	100
27.08	45
29.22	53
35.27	52
35.77	42
42.57	46
43.84	35
44.66	40

Structural model:
```
Ca3Al7Ir4
1.0
7.8235 -2.1237 0.0000
7.8235 2.1237 0.0000
-5.4716 0.0000 7.8223
Ca Al Ir
3 7 4
Cartesian
0.0000 0.0000 0.0000 Ca
3.1809 0.0000 2.3555 Ca
6.9945 0.0000 5.4669 Ca
-2.7358 0.0000 3.9112 Al
0.2432 0.0000 3.3021 Al
-0.4410 0.0000 7.6101 Al
3.8309 0.0000 5.6268 Al
6.3446 0.0000 2.1955 Al
10.6165 0.0000 0.2122 Al
9.9323 0.0000 4.5203 Al
-2.7864 0.0000 6.4273 Ir
1.3403 0.0000 5.6083 Ir
8.8352 0.0000 2.2141 Ir
12.9619 0.0000 1.3950 Ir
```

=====

No. 2
# Ca2Al6Ir
Theoretical powder XRD pattern, Cu Ka. Input: a cell relaxed with GGA-PBE.
Kinematic intensities with the Lorentz-polarization factor, no thermal factor.

Largest 10 diffraction maxima, in order of rising 2θ, 2θ = 10–90°:
Position (°2θ)	intensity
14.69	50
17.69	100
23.07	80
30.89	43
34.37	98
34.72	58
38.91	68
43.34	32
47.15	33
48.82	32

Structural model:
```
Ca2Al6Ir
1.0
5.7888 0.0000 0.0000
-2.8944 5.0132 0.0000
0.0000 0.0000 6.0293
Ca Al Ir
2 6 1
Cartesian
0.0000 3.3421 2.2104 Ca
2.8944 1.6711 3.8189 Ca
0.0000 1.6849 4.9680 Al
-1.4353 4.1708 4.9680 Al
1.4591 0.8424 1.0613 Al
1.4352 4.1708 4.9680 Al
4.3296 0.8424 1.0613 Al
2.8944 3.3284 1.0613 Al
0.0000 0.0000 3.0147 Ir
```

=====

No. 3
# Ca2AlIr
Theoretical powder XRD pattern, Cu Ka. Input: a cell relaxed with GGA-PBE.
Kinematic intensities with the Lorentz-polarization factor, no thermal factor.

Largest 10 diffraction maxima, in order of rising 2θ, 2θ = 10–90°:
Position (°2θ)	intensity
16.22	85
21.04	37
21.79	67
26.68	29
30.47	100
31.90	56
38.53	70
39.28	37
54.39	24
70.81	29

Structural model:
```
Ca2AlIr
1.0
4.2225 0.0000 0.0000
0.0000 2.1985 5.4635
0.0000 -2.1985 5.4635
Ca Al Ir
2 1 1
Cartesian
0.0000 0.0000 0.0000 Ca
2.1113 0.0000 3.1278 Ca
2.1113 0.0000 6.4378 Al
0.0000 0.0000 7.6384 Ir
```

=====

No. 4
# CaAl9Ir2
Theoretical powder XRD pattern, Cu Ka. Input: a cell relaxed with GGA-PBE.
Kinematic intensities with the Lorentz-polarization factor, no thermal factor.

Largest 10 diffraction maxima, in order of rising 2θ, 2θ = 10–90°:
Position (°2θ)	intensity
15.26	100
22.42	78
23.17	60
30.80	61
32.46	54
33.00	34
43.71	82
45.76	77
53.00	24
78.84	30

Structural model:
```
CaAl9Ir2
1.0
-5.4286 5.4286 3.4355
5.4286 -5.4286 3.4355
5.4286 5.4286 -3.4355
Ca Al Ir
2 18 4
Cartesian
5.4286 2.7143 0.8589 Ca
0.0000 2.7143 2.5767 Ca
5.4286 -2.7143 2.5767 Al
4.1074 -0.5593 1.2542 Al
6.7499 -0.5593 1.2542 Al
2.1550 1.3931 0.4636 Al
8.7023 1.3931 0.4636 Al
4.1074 4.8693 -1.2542 Al
1.3212 -0.5593 2.1814 Al
2.1550 4.0355 0.4636 Al
3.2737 -1.3931 3.8992 Al
2.1550 6.8217 -0.4636 Al
3.2737 1.3931 2.9719 Al
4.1074 5.9880 1.2542 Al
1.3212 0.5593 4.6897 Al
-3.2737 4.0355 2.9719 Al
3.2737 4.0355 2.9719 Al
-1.3212 5.9880 2.1814 Al
1.3212 5.9880 2.1814 Al
0.0000 8.1429 0.8589 Al
0.0000 0.0000 0.0000 Ir
2.7143 2.7143 -1.7178 Ir
2.7143 -2.7143 1.7178 Ir
0.0000 5.4286 0.0000 Ir
```

=====

No. 5
# Ca2MgAl12Ir3
Theoretical powder XRD pattern, Cu Ka. Input: a cell relaxed with GGA-PBE.
Kinematic intensities with the Lorentz-polarization factor, no thermal factor.

Largest 10 diffraction maxima, in order of rising 2θ, 2θ = 10–90°:
Position (°2θ)	intensity
12.39	39
14.70	55
23.39	100
24.92	45
30.32	19
40.15	44
41.99	27
42.98	18
46.99	18
50.70	19

Structural model:
```
Ca2MgAl12Ir3
1.0
4.4919 2.5934 6.0259
-4.4919 2.5934 6.0259
0.0000 -5.1868 6.0259
Ca Mg Al Ir
2 1 12 3
Cartesian
0.0000 0.0000 1.7300 Ca
0.0000 0.0000 16.3476 Ca
0.0000 0.0000 9.0388 Mg
-2.3386 -1.3502 8.4490 Al
0.0000 -2.0193 6.6659 Al
-1.7487 1.0096 6.6659 Al
0.0000 -2.7004 9.6286 Al
-2.3386 1.3502 9.6286 Al
-1.7487 -1.0096 11.4117 Al
1.7487 1.0096 6.6659 Al
2.3386 -1.3502 8.4490 Al
0.0000 2.7004 8.4490 Al
1.7487 -1.0096 11.4117 Al
0.0000 2.0193 11.4117 Al
2.3386 1.3502 9.6286 Al
-2.2460 -1.2967 6.0259 Ir
-2.2460 1.2967 12.0518 Ir
0.0000 2.5934 6.0259 Ir
```

=====

No. 6
# Ca2Al6IrPt
Theoretical powder XRD pattern, Cu Ka. Input: a cell relaxed with GGA-PBE.
Kinematic intensities with the Lorentz-polarization factor, no thermal factor.

Largest 10 diffraction maxima, in order of rising 2θ, 2θ = 10–90°:
Position (°2θ)	intensity
18.49	83
26.26	100
37.48	46
42.10	42
46.34	43
54.03	26
57.58	13
61.05	16
73.83	11
73.95	11

Structural model:
```
Ca2Al6IrPt
1.0
-3.3886 3.3982 4.7997
3.3886 -3.3982 4.7997
3.3886 3.3982 -4.7997
Ca Al Ir Pt
2 6 1 1
Cartesian
0.0000 0.0000 2.4003 Ca
0.0000 0.0000 7.1991 Ca
1.6848 1.7083 0.0000 Al
1.7038 -1.6898 4.7997 Al
3.3886 0.0000 2.4131 Al
0.0000 3.3982 2.3867 Al
1.6848 5.0880 0.0000 Al
1.7038 1.6898 4.7997 Al
0.0000 3.3982 0.0000 Ir
3.3886 0.0000 0.0000 Pt
```

=====

No. 7
# KCaAl2
Theoretical powder XRD pattern, Cu Ka. Input: a cell relaxed with GGA-PBE.
Kinematic intensities with the Lorentz-polarization factor, no thermal factor.

Largest 10 diffraction maxima, in order of rising 2θ, 2θ = 10–90°:
Position (°2θ)	intensity
22.98	34
30.29	90
30.88	100
32.16	65
36.01	36
38.61	34
43.69	18
47.44	18
49.84	39
62.76	15

Structural model:
```
KCaAl2
1.0
3.8326 0.0000 0.0000
0.0000 4.6640 0.0000
-1.8942 0.0000 6.9375
K Ca Al
1 1 2
Cartesian
0.0000 0.0000 0.0000 K
0.0018 2.3320 4.2651 Ca
1.9187 2.3320 1.7097 Al
1.9152 0.0000 3.1015 Al
```

=====

No. 8
# KCaAlTe3
Theoretical powder XRD pattern, Cu Ka. Input: a cell relaxed with GGA-PBE.
Kinematic intensities with the Lorentz-polarization factor, no thermal factor.

Largest 10 diffraction maxima, in order of rising 2θ, 2θ = 10–90°:
Position (°2θ)	intensity
11.03	28
22.15	37
24.36	100
25.49	37
26.22	54
27.22	91
30.29	30
41.18	42
45.49	30
48.27	31

Structural model:
```
KCaAlTe3
1.0
2.2014 -8.0204 0.0000
2.2014 8.0204 0.0000
0.0000 0.0000 12.3109
K Ca Al Te
2 2 2 6
Cartesian
2.2014 4.0368 9.2331 K
2.2014 -4.0368 3.0777 K
0.0000 0.0000 0.0000 Ca
0.0000 0.0000 6.1554 Ca
2.2014 0.6527 3.0777 Al
2.2014 -0.6527 9.2331 Al
2.2014 6.9839 3.0777 Te
2.2014 2.0885 0.9140 Te
2.2014 2.0885 5.2414 Te
2.2014 -2.0885 7.0694 Te
2.2014 -2.0885 11.3969 Te
2.2014 -6.9839 9.2331 Te
```

=====

No. 9
# Ca3LaAl8
Theoretical powder XRD pattern, Cu Ka. Input: a cell relaxed with GGA-PBE.
Kinematic intensities with the Lorentz-polarization factor, no thermal factor.

Largest 10 diffraction maxima, in order of rising 2θ, 2θ = 10–90°:
Position (°2θ)	intensity
18.33	19
19.14	20
31.34	40
31.53	40
36.90	33
37.09	100
38.83	18
59.71	16
59.82	16
65.39	15

Structural model:
```
Ca3LaAl8
1.0
2.8375 1.6382 9.3495
-2.8375 1.6382 9.3495
0.0000 -3.2764 9.3495
Ca La Al
3 1 8
Cartesian
0.0000 0.0000 0.0000 Ca
0.0000 0.0000 3.5004 Ca
0.0000 0.0000 14.0059 Ca
0.0000 0.0000 17.5325 La
0.0000 -1.6400 6.4049 Al
-1.4203 0.8200 6.4049 Al
-1.4230 -0.8216 11.1086 Al
0.0000 0.0000 8.7536 Al
1.4203 0.8200 6.4049 Al
1.4230 -0.8216 11.1086 Al
0.0000 1.6432 11.1086 Al
0.0000 0.0000 22.7810 Al
```

=====

No. 10
# CaLaAl3O7
Theoretical powder XRD pattern, Cu Ka. Input: a cell relaxed with GGA-PBE.
Kinematic intensities with the Lorentz-polarization factor, no thermal factor.

Largest 10 diffraction maxima, in order of rising 2θ, 2θ = 10–90°:
Position (°2θ)	intensity
11.25	27
16.11	38
23.55	48
28.47	36
30.52	100
30.88	56
36.38	27
38.47	19
43.16	22
50.65	17

Structural model:
```
CaLaAl3O7
1.0
5.5025 -5.6190 0.0000
5.5025 5.6190 0.0000
0.0000 0.0000 5.1963
Ca La Al O
2 2 6 14
Cartesian
1.7496 0.0000 0.0000 Ca
9.2553 0.0000 0.0000 Ca
5.5025 1.8525 5.0560 La
5.5025 -1.8525 5.0560 La
2.7512 2.8095 2.4623 Al
5.5025 4.0426 2.7064 Al
3.8854 0.0000 2.2987 Al
2.7512 -2.8095 2.4623 Al
7.1195 0.0000 2.2987 Al
5.5025 -4.0426 2.7064 Al
0.0000 0.0000 3.4745 O
4.1453 3.1886 3.4841 O
5.5025 4.0223 0.9578 O
3.1574 1.3966 1.4731 O
6.8596 3.1886 3.4841 O
3.9607 0.0000 4.0507 O
3.1574 -1.3966 1.4731 O
5.5025 0.0000 1.5714 O
7.8475 1.3966 1.4731 O
7.0442 0.0000 4.0507 O
4.1453 -3.1886 3.4841 O
7.8475 -1.3966 1.4731 O
5.5025 -4.0223 0.9578 O
6.8596 -3.1886 3.4841 O
```

=====

No. 11
# CaLaAl3O7
Theoretical powder XRD pattern, Cu Ka. Input: a cell relaxed with GGA-PBE.
Kinematic intensities with the Lorentz-polarization factor, no thermal factor.

Largest 10 diffraction maxima, in order of rising 2θ, 2θ = 10–90°:
Position (°2θ)	intensity
11.26	32
15.94	22
23.43	33
25.33	16
28.43	28
30.66	100
30.77	36
36.12	25
50.70	15
50.96	20

Structural model:
```
CaLaAl3O7
1.0
5.2023 0.0000 0.0000
0.0000 7.8681 0.0000
-0.0441 0.0000 7.8600
Ca La Al O
2 2 6 14
Cartesian
0.0994 0.0000 3.3049 Ca
5.0588 3.9340 4.5551 Ca
0.0254 5.3254 0.7514 La
5.1328 1.3913 7.1086 La
2.3431 3.7872 6.9697 Al
2.3899 1.5280 4.7202 Al
2.5862 2.6480 1.9081 Al
2.5720 6.5820 5.9519 Al
2.7683 5.4621 3.1398 Al
2.8151 7.7212 0.8903 Al
1.0196 5.4513 3.0291 O
1.0669 7.6636 0.8128 O
1.5355 3.2705 0.6084 O
1.5576 5.3550 6.7262 O
1.5862 0.0327 5.2891 O
1.6160 2.7447 5.7561 O
1.6452 1.8249 3.1491 O
3.5129 5.7589 4.7109 O
3.5422 6.6788 2.1039 O
3.5720 3.9667 2.5709 O
3.6006 1.4210 1.1338 O
3.6227 7.2045 7.2516 O
4.0913 3.7296 7.0472 O
4.1386 1.5173 4.8309 O
```

=====

No. 12
# CaLaAl2Si2
Theoretical powder XRD pattern, Cu Ka. Input: a cell relaxed with GGA-PBE.
Kinematic intensities with the Lorentz-polarization factor, no thermal factor.

Largest 10 diffraction maxima, in order of rising 2θ, 2θ = 10–90°:
Position (°2θ)	intensity
24.39	27
26.41	26
31.77	100
40.75	12
42.92	33
48.06	9
54.37	21
60.67	22
68.57	10
71.65	18

Structural model:
```
CaLaAl2Si2
1.0
4.2145 0.0000 0.0000
-2.1073 3.6499 0.0000
0.0000 0.0000 8.8571
Ca La Al Si
1 1 2 2
Cartesian
0.0000 0.0000 0.0000 Ca
0.0000 0.0000 4.4285 La
0.0000 2.4333 2.2399 Al
2.1073 1.2166 6.6172 Al
0.0000 2.4333 6.7529 Si
2.1073 1.2166 2.1042 Si
```

=====

No. 13
# Li2CaAl9
Theoretical powder XRD pattern, Cu Ka. Input: a cell relaxed with GGA-PBE.
Kinematic intensities with the Lorentz-polarization factor, no thermal factor.

Largest 10 diffraction maxima, in order of rising 2θ, 2θ = 10–90°:
Position (°2θ)	intensity
10.12	40
18.81	26
22.97	26
37.67	28
38.15	21
38.48	100
41.35	61
61.79	24
67.67	23
82.47	28

Structural model:
```
Li2CaAl9
1.0
2.7691 1.5987 8.7440
-2.7691 1.5987 8.7440
0.0000 -3.1975 8.7440
Li Ca Al
2 1 9
Cartesian
0.0000 0.0000 3.7855 Li
0.0000 0.0000 22.4465 Li
0.0000 0.0000 0.0000 Ca
-1.4176 -0.8185 10.9881 Al
0.0000 0.0000 8.7878 Al
0.0000 -1.6369 15.2439 Al
-1.4176 0.8185 15.2439 Al
0.0000 0.0000 13.1160 Al
1.4176 -0.8185 10.9881 Al
0.0000 1.6369 10.9881 Al
0.0000 0.0000 17.4442 Al
1.4176 0.8185 15.2439 Al
```